Record 1
Diffraction record for MgZrPa. The X-ray powder pattern is calculated, not measured: it uses a structure optimized by DFT (GGA-PBE) and Cu Kα (λ = 1.5418 Å).

Structural model:
Unit cell a=7.868 b=7.868 c=7.868 alpha=157.46 beta=157.46 gamma=32.09
Fractional positions:
Mg (0.000, 0.000, 0.000)
Zr (0.663, 0.663, 0.000)
Pa (0.323, 0.323, 0.000)

Peak list (10 most intense, 10 to 80 degrees two-theta, in order of rising 2θ)
| 2theta | d (Å) | intensity |
| --- | --- | --- |
| 11.70 | 7.561 | 82 |
| 23.53 | 3.781 | 15 |
| 29.64 | 3.014 | 36 |
| 34.15 | 2.625 | 100 |
| 35.62 | 2.520 | 22 |
| 41.53 | 2.175 | 29 |
| 41.89 | 2.156 | 18 |
| 55.84 | 1.646 | 24 |
| 63.04 | 1.475 | 17 |
| 71.05 | 1.327 | 24 |

=====

Record 2
Diffraction record for Rb3U2Se2O5. The X-ray powder pattern is calculated, not measured: it uses a structure optimized by DFT (GGA-PBE) and Cu Kα (λ = 1.5418 Å).

Structural model:
Unit cell a=14.749 b=14.749 c=14.749 alpha=163.06 beta=163.06 gamma=24.05
Fractional positions:
Rb (0.000, 0.000, 0.000)
Rb (0.200, 0.200, 0.000)
Rb (0.800, 0.800, 0.000)
U (0.425, 0.425, 0.000)
U (0.575, 0.575, 0.000)
Se (0.331, 0.331, 0.000)
Se (0.669, 0.669, 0.000)
O (0.073, 0.573, 0.500)
O (0.427, 0.927, 0.500)
O (0.500, 0.500, 0.000)
O (0.573, 0.073, 0.500)
O (0.927, 0.427, 0.500)

Peak list (10 most intense, 10 to 80 degrees two-theta, in order of rising 2θ)
| 2theta | d (Å) | intensity |
| --- | --- | --- |
| 20.67 | 4.296 | 86 |
| 24.69 | 3.606 | 35 |
| 25.67 | 3.471 | 91 |
| 29.07 | 3.072 | 100 |
| 29.88 | 2.990 | 26 |
| 34.78 | 2.579 | 44 |
| 38.50 | 2.339 | 27 |
| 41.57 | 2.172 | 51 |
| 45.91 | 1.977 | 31 |
| 49.50 | 1.841 | 31 |

=====

Record 3
Diffraction record for NdDyCo2. The X-ray powder pattern is calculated, not measured: it uses a structure optimized by DFT (GGA-PBE) and Cu Kα (λ = 1.5418 Å).

Structural model:
Unit cell a=3.889 b=5.678 c=7.622 alpha=90.00 beta=90.00 gamma=90.00
Fractional positions:
Nd (0.000, 0.132, 0.000)
Nd (0.000, 0.868, 0.500)
Dy (0.500, 0.370, 0.643)
Dy (0.500, 0.630, 0.143)
Co (0.000, 0.360, 0.353)
Co (0.000, 0.640, 0.853)
Co (0.500, 0.168, 0.298)
Co (0.500, 0.832, 0.798)

Peak list (10 most intense, 10 to 80 degrees two-theta, in order of rising 2θ)
| 2theta | d (Å) | intensity |
| --- | --- | --- |
| 27.80 | 3.209 | 34 |
| 30.22 | 2.957 | 100 |
| 32.90 | 2.722 | 94 |
| 33.69 | 2.660 | 97 |
| 36.61 | 2.455 | 68 |
| 38.83 | 2.319 | 71 |
| 41.11 | 2.196 | 77 |
| 46.71 | 1.945 | 41 |
| 58.82 | 1.570 | 39 |
| 62.31 | 1.490 | 34 |